Starting from a DFT-relaxed cell (PBE, Alexandria), the XRD peak list of RhAuC was calculated for CuKα.

Principal peaks in the range 5° ≤ 2θ ≤ 70°, in order of rising 2θ:
d_spacing	2theta	Rel. int.
5.015	17.69	137
2.709	33.07	124
2.586	34.69	1000
2.508	35.81	294
2.222	40.60	597
2.032	44.60	81
1.694	54.13	67
1.590	58.01	245
1.553	59.52	193
1.354	69.39	134

Atomic structure:
abc: 5.341 5.341 5.341
angles: 34.64 34.64 34.64
Positions (direct):
Rh 0.000 0.000 0.000
Au 0.516 0.516 0.516
C 0.375 0.375 0.375


Starting from a DFT-relaxed cell (PBE, Alexandria), the XRD peak list of Rh2AuCSe was calculated for CuKα.

Principal peaks in the range 5° ≤ 2θ ≤ 70°, in order of rising 2θ:
d_spacing	2theta	Rel. int.
5.083	17.45	1000
4.765	18.62	624
2.541	35.32	635
2.383	37.76	264
2.273	39.65	266
2.242	40.22	365
2.157	41.87	229
1.797	50.81	223
1.738	52.66	400
1.435	65.01	211

Atomic structure:
abc: 5.083 5.083 4.765
angles: 90.00 90.00 90.00
Positions (direct):
Rh 0.000 0.500 0.000
Rh 0.500 0.000 0.000
Au 0.000 0.000 0.000
C 0.500 0.500 0.500
Se 0.000 0.000 0.500


Starting from a DFT-relaxed cell (PBE, Alexandria), the XRD peak list of Sc3AuC was calculated for CuKα.

Principal peaks in the range 5° ≤ 2θ ≤ 70°, in order of rising 2θ:
d_spacing	2theta	Rel. int.
8.101	10.92	726
6.038	14.67	458
3.486	25.55	820
3.322	26.84	534
3.130	28.52	431
2.731	32.80	427
2.662	33.67	526
2.537	35.38	432
2.488	36.10	653
2.405	37.40	1000

Atomic structure:
abc: 8.143 8.143 5.661
angles: 90.92 90.92 95.73
Positions (direct):
Sc 0.048 0.751 0.931
Sc 0.186 0.572 0.426
Sc 0.249 0.952 0.569
Sc 0.315 0.456 0.911
Sc 0.428 0.814 0.074
Sc 0.456 0.315 0.411
Sc 0.544 0.685 0.589
Sc 0.572 0.186 0.926
Sc 0.685 0.544 0.089
Sc 0.751 0.048 0.431
Sc 0.814 0.428 0.574
Sc 0.952 0.249 0.069
Au 0.087 0.244 0.599
Au 0.244 0.087 0.099
Au 0.756 0.913 0.901
Au 0.913 0.756 0.401
C 0.287 0.713 0.750
C 0.431 0.569 0.250
C 0.569 0.431 0.750
C 0.713 0.287 0.250


Starting from a DFT-relaxed cell (PBE, Alexandria), the XRD peak list of ScAuC was calculated for CuKα.

Principal peaks in the range 5° ≤ 2θ ≤ 70°, in order of rising 2θ:
d_spacing	2theta	Rel. int.
7.224	12.25	1000
2.683	33.40	233
2.633	34.05	268
2.573	34.87	537
2.450	36.68	293
2.327	38.69	261
2.279	39.53	271
2.259	39.92	117
2.125	42.53	180
2.065	43.84	149

Atomic structure:
abc: 3.419 3.595 7.350
angles: 84.85 80.18 83.45
Positions (direct):
Sc 0.152 0.210 0.326
Sc 0.848 0.790 0.674
Au 0.284 0.265 0.896
Au 0.716 0.735 0.104
C 0.433 0.657 0.447
C 0.567 0.343 0.553


Starting from a DFT-relaxed cell (PBE, Alexandria), the XRD peak list of Si2AuC was calculated for CuKα.

Principal peaks in the range 5° ≤ 2θ ≤ 70°, in order of rising 2θ:
d_spacing	2theta	Rel. int.
6.678	13.26	1000
3.339	26.70	255
2.742	32.65	625
2.537	35.38	819
2.226	40.52	127
2.119	42.66	596
1.728	52.98	371
1.583	58.27	189
1.541	60.05	149
1.431	65.21	127

Atomic structure:
abc: 3.167 3.167 6.678
angles: 90.00 90.00 120.00
Positions (direct):
Si 0.000 0.000 0.000
Si 0.333 0.667 0.621
Au 0.000 0.000 0.369
C 0.333 0.667 0.899


Starting from a DFT-relaxed cell (PBE, Alexandria), the XRD peak list of Ta5AuC was calculated for CuKα.

Principal peaks in the range 5° ≤ 2θ ≤ 70°, in order of rising 2θ:
d_spacing	2theta	Rel. int.
2.446	36.74	624
2.419	37.16	519
2.399	37.49	509
2.383	37.74	448
2.368	38.00	1000
1.714	53.45	175
1.700	53.94	172
1.671	54.95	140
1.472	63.15	113
1.397	67.01	193

Atomic structure:
abc: 5.566 5.566 7.696
angles: 97.21 97.21 93.64
Positions (direct):
Ta 0.108 0.648 0.372
Ta 0.113 0.887 0.750
Ta 0.178 0.350 0.984
Ta 0.350 0.178 0.484
Ta 0.352 0.892 0.128
Ta 0.648 0.108 0.872
Ta 0.650 0.822 0.516
Ta 0.822 0.650 0.016
Ta 0.887 0.113 0.250
Ta 0.892 0.352 0.628
Au 0.444 0.556 0.750
Au 0.556 0.444 0.250
C 0.000 0.000 0.000
C 0.000 0.000 0.500


Starting from a DFT-relaxed cell (PBE, Alexandria), the XRD peak list of Th3AuC2 was calculated for CuKα.

Principal peaks in the range 5° ≤ 2θ ≤ 70°, in order of rising 2θ:
d_spacing	2theta	Rel. int.
3.066	29.13	1000
2.963	30.16	178
2.849	31.40	722
2.805	31.91	287
2.556	35.10	271
2.037	44.48	144
1.986	45.68	178
1.697	54.04	307
1.667	55.10	168
1.539	60.13	124

Atomic structure:
abc: 6.964 6.964 10.349
angles: 90.00 90.00 146.86
Positions (direct):
Th 0.068 0.932 0.750
Th 0.378 0.622 0.559
Th 0.378 0.622 0.941
Th 0.622 0.378 0.059
Th 0.622 0.378 0.441
Th 0.932 0.068 0.250
Au 0.249 0.751 0.250
Au 0.751 0.249 0.750
C 0.000 0.000 0.000
C 0.000 0.000 0.500
C 0.471 0.529 0.750
C 0.529 0.471 0.250


Starting from a DFT-relaxed cell (PBE, Alexandria), the XRD peak list of Th7AuC5 was calculated for CuKα.

Principal peaks in the range 5° ≤ 2θ ≤ 70°, in order of rising 2θ:
d_spacing	2theta	Rel. int.
3.085	28.94	666
3.048	29.30	250
2.930	30.51	1000
2.865	31.22	615
2.744	32.63	816
2.653	33.79	434
1.917	47.42	278
1.904	47.77	261
1.631	56.43	236
1.596	57.75	371

Atomic structure:
abc: 6.599 6.599 23.156
angles: 90.00 90.00 146.46
Positions (direct):
Th 0.010 0.990 0.750
Th 0.137 0.863 0.033
Th 0.137 0.863 0.467
Th 0.320 0.680 0.665
Th 0.320 0.680 0.835
Th 0.414 0.586 0.102
Th 0.414 0.586 0.398
Th 0.586 0.414 0.602
Th 0.586 0.414 0.898
Th 0.680 0.320 0.165
Th 0.680 0.320 0.335
Th 0.863 0.137 0.533
Th 0.863 0.137 0.967
Th 0.990 0.010 0.250
Au 0.305 0.695 0.250
Au 0.695 0.305 0.750
C 0.054 0.946 0.141
C 0.054 0.946 0.359
C 0.223 0.777 0.572
C 0.223 0.777 0.928
C 0.500 0.500 0.000
C 0.500 0.500 0.500
C 0.777 0.223 0.072
C 0.777 0.223 0.428
C 0.946 0.054 0.641
C 0.946 0.054 0.859


Number 5 is which compound?
Si2AuC


What did the sixth record say?
Starting from a DFT-relaxed cell (PBE, Alexandria), the XRD peak list of Ta5AuC was calculated for CuKα.

Principal peaks in the range 5° ≤ 2θ ≤ 70°, in order of rising 2θ:
d_spacing	2theta	Rel. int.
2.446	36.74	624
2.419	37.16	519
2.399	37.49	509
2.383	37.74	448
2.368	38.00	1000
1.714	53.45	175
1.700	53.94	172
1.671	54.95	140
1.472	63.15	113
1.397	67.01	193

Atomic structure:
abc: 5.566 5.566 7.696
angles: 97.21 97.21 93.64
Positions (direct):
Ta 0.108 0.648 0.372
Ta 0.113 0.887 0.750
Ta 0.178 0.350 0.984
Ta 0.350 0.178 0.484
Ta 0.352 0.892 0.128
Ta 0.648 0.108 0.872
Ta 0.650 0.822 0.516
Ta 0.822 0.650 0.016
Ta 0.887 0.113 0.250
Ta 0.892 0.352 0.628
Au 0.444 0.556 0.750
Au 0.556 0.444 0.250
C 0.000 0.000 0.000
C 0.000 0.000 0.500